# Mg3Si2O9
Simulated X-ray diffraction stick pattern, Cu Kα X-rays. Input: DFT lattice parameters and positions (GGA-PBE).

Cell and atoms:
```
28
Lattice="5.417 0.000 0.000 -2.708 4.691 0.000 0.000 0.000 14.535" Properties=species:S:1:pos:R:3 pbc="T T T"
Mg -0.963 1.668 0.000
Mg -1.745 3.023 7.267
Mg 1.926 0.000 0.000
Mg 0.963 1.668 7.267
Mg 3.491 0.000 7.267
Mg 1.745 3.023 0.000
Si 0.000 3.127 2.831
Si 0.000 3.127 10.098
Si 2.708 1.564 2.831
Si 2.708 1.564 10.098
O 0.000 0.000 0.772
O 0.000 0.000 8.040
O -0.829 1.436 6.370
O -1.342 2.324 3.361
O -1.366 2.367 10.628
O -1.880 3.255 13.638
O 1.658 0.000 6.370
O 0.829 1.436 13.638
O 0.000 3.127 1.187
O 0.000 3.127 8.454
O 2.684 0.000 3.361
O 1.342 2.324 10.628
O 2.733 0.000 10.628
O 1.366 2.367 3.361
O 2.708 1.564 1.187
O 2.708 1.564 8.454
O 3.759 0.000 13.638
O 1.880 3.255 6.370
```

The 10 most intense peaks (2θ = 10–90°), sorted by position:
2θ (°)  I (rel.)  (hkl)
12.2  100  0 0 2
18.9  44  1 0 0
22.6  69  1 0 2
24.5  76  0 0 4
35.4  78  1 1 2
38.1  22  1 1 3
45.8  27  1 1 5
55.8  18  1 1 7
59.1  30  3 0 0
70.8  17  2 2 2